# 1
Diffraction record for Li2BBr6. The powder diffractogram is computed, not measured: it uses a cell relaxed with GGA-PBE and Cu Ka.

Cell and atoms:
Cell: 8.9199 7.7846 8.6083 Å, 90.00 115.80 90.00°
Sites, in units of the cell vectors:
Li  0.0254  0.1098  0.1936
Li  0.0254  0.3902  0.6936
Li  0.9746  0.6098  0.3064
Li  0.9746  0.8902  0.8064
B  0.5000  0.0000  0.0000
B  0.5000  0.5000  0.5000
Br  0.1471  0.1697  0.9686
Br  0.1471  0.3303  0.4686
Br  0.2149  0.6616  0.8718
Br  0.2149  0.8384  0.3718
Br  0.4398  0.0446  0.7768
Br  0.4398  0.4554  0.2768
Br  0.5602  0.5446  0.7232
Br  0.5602  0.9554  0.2232
Br  0.7851  0.1616  0.6282
Br  0.7851  0.3384  0.1282
Br  0.8529  0.6697  0.5314
Br  0.8529  0.8303  0.0314

Main lines, by intensity (2θ from 10° to 80°):
- 2θ 26.6, I 100
- 2θ 29.6, I 99
- 2θ 25.6, I 72
- 2θ 29.9, I 67
- 2θ 23.1, I 65
- 2θ 25.4, I 62

---

# 2
Diffraction record for TbUZn. The powder diffractogram is computed, not measured: it uses a cell relaxed with GGA-PBE and Cu Ka.

Cell and atoms:
Cell: 3.0970 18.5685 4.7040 Å, 90.00 90.00 90.00°
Sites, in units of the cell vectors:
Tb  0.0000  0.1357  0.2500
Tb  0.0000  0.8643  0.7500
Tb  0.5000  0.3643  0.7500
Tb  0.5000  0.6357  0.2500
U  0.0000  0.4714  0.2500
U  0.0000  0.5286  0.7500
U  0.5000  0.0286  0.7500
U  0.5000  0.9714  0.2500
Zn  0.0000  0.2968  0.2500
Zn  0.0000  0.7032  0.7500
Zn  0.5000  0.2032  0.7500
Zn  0.5000  0.7968  0.2500

Main lines, by intensity (2θ from 10° to 80°):
- 2θ 34.7, I 100
- 2θ 35.0, I 59
- 2θ 32.3, I 51
- 2θ 38.3, I 46
- 2θ 37.8, I 36
- 2θ 50.9, I 29

---

# 3
Diffraction record for Ag6Pt5. The powder diffractogram is computed, not measured: it uses a cell relaxed with GGA-PBE and Cu Ka.

Cell and atoms:
Cell: 7.5138 7.5138 8.8259 Å, 93.96 93.96 21.62°
Sites, in units of the cell vectors:
Ag  0.0000  0.0000  0.0000
Ag  0.1854  0.1854  0.9075
Ag  0.2728  0.2728  0.3590
Ag  0.3605  0.3605  0.8103
Ag  0.5444  0.5444  0.7272
Ag  0.6373  0.6373  0.1805
Pt  0.0876  0.0876  0.4545
Pt  0.4555  0.4555  0.2758
Pt  0.7230  0.7230  0.6199
Pt  0.8239  0.8239  0.0951
Pt  0.9077  0.9077  0.5426

Main lines, by intensity (2θ from 10° to 80°):
- 2θ 38.6, I 100
- 2θ 45.2, I 62
- 2θ 37.8, I 52
- 2θ 38.8, I 48
- 2θ 43.7, I 33
- 2θ 65.4, I 30

---

# 4
Diffraction record for Li4Ga5Cu. The powder diffractogram is computed, not measured: it uses a cell relaxed with GGA-PBE and Cu Ka.

Cell and atoms:
Cell: 3.1525 3.1525 15.4003 Å, 90.00 90.00 90.00°
Sites, in units of the cell vectors:
Li  0.0000  0.0000  0.1061
Li  0.0000  0.0000  0.3096
Li  0.0000  0.0000  0.6904
Li  0.0000  0.0000  0.8939
Ga  0.5000  0.5000  0.0000
Ga  0.5000  0.5000  0.2100
Ga  0.5000  0.5000  0.4075
Ga  0.5000  0.5000  0.5925
Ga  0.5000  0.5000  0.7900
Cu  0.0000  0.0000  0.5000

Main lines, by intensity (2θ from 10° to 80°):
- 2θ 41.0, I 100
- 2θ 40.5, I 53
- 2θ 28.3, I 51
- 2θ 73.9, I 32
- 2θ 29.0, I 26
- 2θ 50.5, I 20

---

# 5
Diffraction record for CsNaMg2Cl6. The powder diffractogram is computed, not measured: it uses a cell relaxed with GGA-PBE and Cu Ka.

Cell and atoms:
Cell: 9.9080 9.9080 7.0101 Å, 96.10 96.10 92.71°
Sites, in units of the cell vectors:
Cs  0.1045  0.8955  0.7500
Cs  0.8955  0.1045  0.2500
Na  0.2753  0.7247  0.2500
Na  0.7247  0.2753  0.7500
Mg  0.2174  0.3771  0.7434
Mg  0.3771  0.2174  0.2434
Mg  0.6229  0.7826  0.7566
Mg  0.7826  0.6229  0.2566
Cl  0.0175  0.2374  0.7177
Cl  0.1964  0.5910  0.9010
Cl  0.2374  0.0175  0.2177
Cl  0.2688  0.3970  0.4170
Cl  0.3970  0.2688  0.9170
Cl  0.4090  0.8036  0.5990
Cl  0.5910  0.1964  0.4010
Cl  0.6030  0.7312  0.0830
Cl  0.7312  0.6030  0.5830
Cl  0.7626  0.9825  0.7823
Cl  0.8036  0.4090  0.0990
Cl  0.9825  0.7626  0.2823

Main lines, by intensity (2θ from 10° to 80°):
- 2θ 20.7, I 100
- 2θ 31.9, I 95
- 2θ 21.0, I 86
- 2θ 30.3, I 84
- 2θ 28.8, I 77
- 2θ 26.3, I 68

---

# 6
Diffraction record for PrTlRh2. The powder diffractogram is computed, not measured: it uses a cell relaxed with GGA-PBE and Cu Ka.

Cell and atoms:
Cell: 5.5059 4.3838 7.2186 Å, 90.00 90.00 90.00°
Sites, in units of the cell vectors:
Pr  0.2500  0.0000  0.2342
Pr  0.7500  0.0000  0.7658
Tl  0.2500  0.5000  0.8633
Tl  0.7500  0.5000  0.1367
Rh  0.0000  0.5000  0.5000
Rh  0.2500  0.0000  0.6268
Rh  0.5000  0.5000  0.5000
Rh  0.7500  0.0000  0.3732

Main lines, by intensity (2θ from 10° to 80°):
- 2θ 36.1, I 100
- 2θ 28.8, I 77
- 2θ 41.2, I 73
- 2θ 40.7, I 57
- 2θ 32.5, I 35
- 2θ 40.9, I 32

---

# 7
Diffraction record for Sm2PaFe9. The powder diffractogram is computed, not measured: it uses a cell relaxed with GGA-PBE and Cu Ka.

Cell and atoms:
Cell: 5.0670 5.0670 16.6670 Å, 90.00 90.00 120.00°
Sites, in units of the cell vectors:
Sm  0.3333  0.6667  0.0378
Sm  0.3333  0.6667  0.4622
Sm  0.6667  0.3333  0.5378
Sm  0.6667  0.3333  0.9622
Pa  0.3333  0.6667  0.2500
Pa  0.6667  0.3333  0.7500
Fe  0.0000  0.0000  0.0000
Fe  0.0000  0.0000  0.2500
Fe  0.0000  0.0000  0.5000
Fe  0.0000  0.0000  0.7500
Fe  0.1657  0.3314  0.6294
Fe  0.1657  0.3314  0.8706
Fe  0.1657  0.8343  0.6294
Fe  0.1657  0.8343  0.8706
Fe  0.3314  0.1657  0.1294
Fe  0.3314  0.1657  0.3706
Fe  0.3333  0.6667  0.7500
Fe  0.6667  0.3333  0.2500
Fe  0.6686  0.8343  0.6294
Fe  0.6686  0.8343  0.8706
Fe  0.8343  0.1657  0.1294
Fe  0.8343  0.1657  0.3706
Fe  0.8343  0.6686  0.1294
Fe  0.8343  0.6686  0.3706

Main lines, by intensity (2θ from 10° to 80°):
- 2θ 41.7, I 100
- 2θ 33.8, I 81
- 2θ 35.4, I 56
- 2θ 41.5, I 39
- 2θ 62.6, I 28
- 2θ 67.9, I 23

---

# 8
Diffraction record for Sr3MoN4. The powder diffractogram is computed, not measured: it uses a cell relaxed with GGA-PBE and Cu Ka.

Cell and atoms:
Cell: 10.3842 10.3842 9.9690 Å, 96.89 96.89 59.91°
Sites, in units of the cell vectors:
Sr  0.0164  0.9836  0.7500
Sr  0.0492  0.3055  0.4544
Sr  0.0803  0.6107  0.9005
Sr  0.2791  0.3509  0.2025
Sr  0.3055  0.0492  0.9544
Sr  0.3178  0.6395  0.4131
Sr  0.3509  0.2791  0.7025
Sr  0.3605  0.6822  0.0869
Sr  0.3893  0.9197  0.5995
Sr  0.6107  0.0803  0.4005
Sr  0.6395  0.3178  0.9131
Sr  0.6491  0.7209  0.2975
Sr  0.6822  0.3605  0.5869
Sr  0.6945  0.9508  0.0456
Sr  0.7209  0.6491  0.7975
Sr  0.9197  0.3893  0.0995
Sr  0.9508  0.6945  0.5456
Sr  0.9836  0.0164  0.2500
Mo  0.0277  0.3234  0.7880
Mo  0.3234  0.0277  0.2880
Mo  0.3353  0.6647  0.7500
Mo  0.6647  0.3353  0.2500
Mo  0.6766  0.9723  0.7120
Mo  0.9723  0.6766  0.2120
N  0.0120  0.5180  0.3164
N  0.1370  0.1403  0.6917
N  0.1403  0.1370  0.1917
N  0.1450  0.3335  0.9439
N  0.1573  0.6465  0.1636
N  0.1717  0.7266  0.6222
N  0.2734  0.8283  0.8778
N  0.3335  0.1450  0.4439
N  0.3535  0.8427  0.3364
N  0.3691  0.5006  0.8441
N  0.4820  0.9880  0.1836
N  0.4994  0.6309  0.6559
N  0.5006  0.3691  0.3441
N  0.5180  0.0120  0.8164
N  0.6309  0.4994  0.1559
N  0.6465  0.1573  0.6636
N  0.6665  0.8550  0.5561
N  0.7266  0.1717  0.1222
N  0.8283  0.2734  0.3778
N  0.8427  0.3535  0.8364
N  0.8550  0.6665  0.0561
N  0.8597  0.8630  0.8083
N  0.8630  0.8597  0.3083
N  0.9880  0.4820  0.6836

Main lines, by intensity (2θ from 10° to 80°):
- 2θ 29.9, I 100
- 2θ 30.4, I 59
- 2θ 30.1, I 57
- 2θ 34.0, I 50
- 2θ 32.2, I 28
- 2θ 18.0, I 20

---

# 9
Diffraction record for Sc4SnPbS. The powder diffractogram is computed, not measured: it uses a cell relaxed with GGA-PBE and Cu Ka.

Cell and atoms:
Cell: 8.3071 8.3071 6.6804 Å, 90.00 90.00 132.62°
Sites, in units of the cell vectors:
Sc  0.0000  0.5000  0.0000
Sc  0.0000  0.5000  0.5000
Sc  0.0834  0.9166  0.7500
Sc  0.4122  0.5878  0.7500
Sc  0.5000  0.0000  0.0000
Sc  0.5000  0.0000  0.5000
Sc  0.5878  0.4122  0.2500
Sc  0.9166  0.0834  0.2500
Sn  0.1111  0.8889  0.2500
Sn  0.8889  0.1111  0.7500
Pb  0.3927  0.6073  0.2500
Pb  0.6073  0.3927  0.7500
S  0.2478  0.7522  0.7500
S  0.7522  0.2478  0.2500

Main lines, by intensity (2θ from 10° to 80°):
- 2θ 35.8, I 100
- 2θ 26.7, I 84
- 2θ 25.8, I 76
- 2θ 38.1, I 74
- 2θ 19.7, I 39
- 2θ 46.6, I 33

---

# 10
Diffraction record for PrNd2Hg7. The powder diffractogram is computed, not measured: it uses a cell relaxed with GGA-PBE and Cu Ka.

Cell and atoms:
Cell: 5.0687 5.0687 12.2141 Å, 90.00 90.00 120.00°
Sites, in units of the cell vectors:
Pr  0.0000  0.0000  0.0000
Nd  0.3333  0.6667  0.6347
Nd  0.6667  0.3333  0.2725
Hg  0.0000  0.0000  0.4400
Hg  0.0000  0.0000  0.7254
Hg  0.3333  0.6667  0.1355
Hg  0.3333  0.6667  0.3753
Hg  0.3333  0.6667  0.8941
Hg  0.6667  0.3333  0.5440
Hg  0.6667  0.3333  0.8278

Main lines, by intensity (2θ from 10° to 80°):
- 2θ 35.4, I 100
- 2θ 35.8, I 81
- 2θ 29.9, I 40
- 2θ 63.9, I 31
- 2θ 51.3, I 29
- 2θ 63.6, I 19

---

# 11
Diffraction record for CaPr2Ho2. The powder diffractogram is computed, not measured: it uses a cell relaxed with GGA-PBE and Cu Ka.

Cell and atoms:
Cell: 5.5956 17.7427 3.5834 Å, 90.00 90.00 90.00°
Sites, in units of the cell vectors:
Ca  0.0000  0.0000  0.0000
Ca  0.5000  0.5000  0.0000
Pr  0.0000  0.3780  0.5000
Pr  0.0000  0.6220  0.5000
Pr  0.5000  0.1220  0.5000
Pr  0.5000  0.8780  0.5000
Ho  0.0000  0.2010  0.0000
Ho  0.0000  0.7990  0.0000
Ho  0.5000  0.2990  0.0000
Ho  0.5000  0.7010  0.0000

Main lines, by intensity (2θ from 10° to 80°):
- 2θ 29.8, I 100
- 2θ 33.3, I 71
- 2θ 30.0, I 68
- 2θ 32.0, I 51
- 2θ 32.1, I 45
- 2θ 46.0, I 33

---

# 12
Diffraction record for CsMgNpCl6. The powder diffractogram is computed, not measured: it uses a cell relaxed with GGA-PBE and Cu Ka.

Cell and atoms:
Cell: 9.6866 9.6866 9.6866 Å, 121.92 117.96 90.14°
Sites, in units of the cell vectors:
Cs  0.2954  0.0454  0.2500
Cs  0.7046  0.9546  0.7500
Mg  0.0000  0.0000  0.5000
Mg  0.0000  0.5000  0.0000
Np  0.0000  0.5000  0.5000
Np  0.5000  0.5000  0.0000
Cl  0.0424  0.7924  0.2500
Cl  0.0533  0.3967  0.2114
Cl  0.0533  0.8418  0.6566
Cl  0.3147  0.1582  0.7114
Cl  0.3147  0.6033  0.1566
Cl  0.3366  0.5866  0.7500
Cl  0.6634  0.4134  0.2500
Cl  0.6853  0.3967  0.8434
Cl  0.6853  0.8418  0.2886
Cl  0.9467  0.1582  0.3434
Cl  0.9467  0.6033  0.7886
Cl  0.9576  0.2076  0.7500

Main lines, by intensity (2θ from 10° to 80°):
- 2θ 21.2, I 100
- 2θ 12.9, I 60
- 2θ 23.0, I 40
- 2θ 11.4, I 35
- 2θ 28.2, I 33
- 2θ 32.4, I 22